This entry pairs a crystal structure of CeThBr5 with its computed powder diffraction line list. Radiation: Cu Kα X-rays. Structure: a DFT-relaxed cell (PBE, Alexandria).
Peak positions follow from Bragg's law for the DFT cell and can differ from measured ones.

Peak list (8 most intense, 5° ≤ 2θ ≤ 70°, by angle)
| d_spacing | I_rel |
| --- | --- |
| 7.605 | 100 |
| 3.146 | 22 |
| 2.905 | 32 |
| 2.869 | 58 |
| 2.808 | 33 |
| 2.724 | 20 |
| 2.196 | 20 |
| 1.952 | 16 |

Cell and atoms:
```
14
Lattice="8.7132 0.0000 0.0000 0.0000 3.9044 0.0000 -0.8535 0.0000 14.0545" Properties=species:S:1:pos:R:3 pbc="T T T"
Ce 0.4601 0.9761 2.2018
Ce 7.3996 2.9283 11.8527
Th 3.0681 2.9283 5.0133
Th 4.7916 0.9761 9.0412
Br 0.8325 0.9761 5.2944
Br 0.7029 0.9761 10.9915
Br 1.5900 2.9283 0.2126
Br 2.6270 2.9283 8.0490
Br 3.5368 0.9761 2.7764
Br 4.3229 2.9283 11.2781
Br 5.2327 0.9761 6.0055
Br 6.2697 0.9761 13.8419
Br 7.1568 2.9283 3.0630
Br 7.0272 2.9283 8.7600
```